For PrNdAl6, a cell relaxed with PBE gives the calculated powder diffractogram in this record (Cu Kα).

Principal peaks in the range 2θ = 10–90°, low angle first:
(hkl), two_theta, I (rel.)
1 0 0, 15.5, 20
1 0 1, 25.1, 93
1 1 0, 27.0, 49
2 0 0, 31.3, 26
2 0 1, 37.2, 100
0 0 2, 39.8, 20
2 1 1, 46.6, 23
1 1 2, 48.8, 20
3 1 1, 62.1, 20
2 2 2, 70.7, 32

Structural model:
Lattice parameters (Å, degrees): 6.5946 6.5946 4.5245 90.00 90.00 120.00
Atoms (fractional coordinates):
Pr: 0.0000 0.0000 0.0000
Nd: 0.3333 0.6667 0.5000
Al: 0.3844 0.1922 0.5000
Al: 0.5249 0.0498 0.0000
Al: 0.5249 0.4751 0.0000
Al: 0.8078 0.1922 0.5000
Al: 0.8078 0.6156 0.5000
Al: 0.9502 0.4751 0.0000

---

For La3YSc4O12, a cell relaxed with PBE gives the calculated powder diffractogram in this record (Cu Kα).

Principal peaks in the range 2θ = 10–90°, low angle first:
(hkl), two_theta, I (rel.)
0 2 0, 21.9, 35
1 1 1, 24.5, 12
0 0 2, 30.7, 22
1 2 -1, 31.1, 100
2 0 0, 31.6, 23
2 2 0, 38.7, 13
0 4 0, 44.5, 27
2 4 0, 55.6, 12
3 2 -1, 55.8, 12
3 2 1, 56.0, 12

Structural model:
Lattice parameters (Å, degrees): 5.6705 8.1354 5.8329 90.00 90.25 90.00
Atoms (fractional coordinates):
La: 0.0000 0.0000 0.0000
La: 0.0253 0.5000 0.0934
La: 0.5000 0.5000 0.5919
Y: 0.5252 0.0000 0.4929
Sc: 0.0125 0.2469 0.5457
Sc: 0.0125 0.7531 0.5457
Sc: 0.5109 0.2475 0.0465
Sc: 0.5109 0.7525 0.0465
O: 0.1361 0.0000 0.5813
O: 0.2107 0.3037 0.8458
O: 0.2107 0.6963 0.8458
O: 0.3103 0.3027 0.3438
O: 0.3103 0.6973 0.3438
O: 0.4115 0.0000 0.0974
O: 0.6143 0.5000 0.0098
O: 0.7054 0.1870 0.7391
O: 0.7054 0.8130 0.7391
O: 0.8074 0.1926 0.2507
O: 0.8074 0.8074 0.2507
O: 0.9116 0.5000 0.5115

---

For NdSe3O12, a cell relaxed with PBE gives the calculated powder diffractogram in this record (Cu Kα).

Principal peaks in the range 2θ = 10–90°, low angle first:
(hkl), two_theta, I (rel.)
1 0 0, 10.5, 69
1 1 1, 23.1, 83
2 0 1, 25.5, 100
1 2 0, 28.1, 31
0 0 2, 28.2, 34
2 1 1, 31.5, 43
2 1 2, 40.3, 22
3 0 2, 43.2, 25
2 3 1, 49.4, 37
2 3 3, 65.7, 17

Structural model:
Lattice parameters (Å, degrees): 9.7006 9.7006 6.3207 90.00 90.00 120.00
Atoms (fractional coordinates):
Nd: 0.3333 0.6667 0.2500
Nd: 0.6667 0.3333 0.7500
Se: 0.0922 0.3905 0.7500
Se: 0.2983 0.9078 0.7500
Se: 0.3905 0.2983 0.2500
Se: 0.6095 0.7017 0.7500
Se: 0.7017 0.0922 0.2500
Se: 0.9078 0.6095 0.2500
O: 0.0111 0.1932 0.7500
O: 0.0401 0.5474 0.2500
O: 0.1822 0.9889 0.7500
O: 0.1932 0.1822 0.2500
O: 0.2108 0.4617 0.5366
O: 0.2108 0.4617 0.9634
O: 0.2510 0.7892 0.5366
O: 0.2510 0.7892 0.9634
O: 0.4526 0.4926 0.2500
O: 0.4617 0.2510 0.0366
O: 0.4617 0.2510 0.4634
O: 0.4926 0.0401 0.7500
O: 0.5074 0.9599 0.2500
O: 0.5383 0.7490 0.5366
O: 0.5383 0.7490 0.9634
O: 0.5474 0.5074 0.7500
O: 0.7490 0.2108 0.0366
O: 0.7490 0.2108 0.4634
O: 0.7892 0.5383 0.0366
O: 0.7892 0.5383 0.4634
O: 0.8068 0.8178 0.7500
O: 0.8178 0.0111 0.2500
O: 0.9599 0.4526 0.7500
O: 0.9889 0.8068 0.2500